Record 1
The following is a simulated PXRD pattern of Mg6AlSiO8. It was derived from a DFT-relaxed cell (GGA-PBE, the Materials Project), using Cu Kα.
Kinematic intensities with the Lorentz-polarization factor, no thermal factor.

Atomic structure:
a b c (Å): 4.169 4.169 9.399
angles (deg): 90.00 90.00 90.00
Element x y z (fractional)
Mg: 0.000 0.000 0.000
Mg: 0.000 0.000 0.500
Mg: 0.000 0.500 0.249
Mg: 0.000 0.500 0.751
Mg: 0.500 0.000 0.249
Mg: 0.500 0.000 0.751
Al: 0.500 0.500 0.500
Si: 0.500 0.500 0.000
O: 0.000 0.000 0.245
O: 0.000 0.000 0.755
O: 0.000 0.500 0.000
O: 0.000 0.500 0.500
O: 0.500 0.000 0.000
O: 0.500 0.000 0.500
O: 0.500 0.500 0.309
O: 0.500 0.500 0.691

Top 10 peaks for 10 to 90 degrees two-theta, in order of falling intensity:
two_theta  I_rel
43.4  100
38.3  62
59.3  59
63.1  28
76.3  25
36.0  23
67.7  10
74.8  9
82.0  4
35.9  4

Record 2
The following is a simulated PXRD pattern of Mg2Al4Si5O18. It was derived from a DFT-relaxed cell (GGA-PBE, the Materials Project), using Cu Kα.
Kinematic intensities with the Lorentz-polarization factor, no thermal factor.

Atomic structure:
a b c (Å): 9.935 9.935 9.440
angles (deg): 90.00 90.00 120.69
Element x y z (fractional)
Mg: 0.163 0.837 0.250
Mg: 0.163 0.837 0.750
Mg: 0.837 0.163 0.250
Mg: 0.837 0.163 0.750
Al: 0.000 0.500 0.250
Al: 0.000 0.500 0.750
Al: 0.142 0.242 0.000
Al: 0.242 0.142 0.500
Al: 0.500 0.000 0.250
Al: 0.500 0.000 0.750
Al: 0.758 0.858 0.500
Al: 0.858 0.758 0.000
Si: 0.000 0.000 0.250
Si: 0.000 0.000 0.750
Si: 0.128 0.398 0.500
Si: 0.229 0.613 0.000
Si: 0.387 0.771 0.500
Si: 0.398 0.128 0.000
Si: 0.602 0.872 0.000
Si: 0.613 0.229 0.500
Si: 0.771 0.387 0.000
Si: 0.872 0.602 0.500
O: 0.017 0.363 0.358
O: 0.017 0.363 0.642
O: 0.021 0.146 0.151
O: 0.021 0.146 0.849
O: 0.146 0.021 0.349
O: 0.146 0.021 0.651
O: 0.150 0.644 0.142
O: 0.150 0.644 0.858
O: 0.193 0.437 0.000
O: 0.208 0.295 0.500
O: 0.257 0.585 0.500
O: 0.295 0.208 0.000
O: 0.356 0.850 0.358
O: 0.356 0.850 0.642
O: 0.363 0.017 0.142
O: 0.363 0.017 0.858
O: 0.415 0.743 0.000
O: 0.437 0.193 0.500
O: 0.563 0.807 0.500
O: 0.585 0.257 0.000
O: 0.637 0.983 0.142
O: 0.637 0.983 0.858
O: 0.644 0.150 0.358
O: 0.644 0.150 0.642
O: 0.705 0.792 0.000
O: 0.743 0.415 0.500
O: 0.792 0.705 0.500
O: 0.807 0.563 0.000
O: 0.850 0.356 0.142
O: 0.850 0.356 0.858
O: 0.854 0.979 0.349
O: 0.854 0.979 0.651
O: 0.979 0.854 0.151
O: 0.979 0.854 0.849
O: 0.983 0.637 0.358
O: 0.983 0.637 0.642

Top 10 peaks for 10 to 90 degrees two-theta, in order of falling intensity:
two_theta  I_rel
10.4  100
10.2  60
21.5  53
28.2  49
26.0  35
29.0  31
29.3  31
29.1  26
26.2  22
53.6  22

Record 3
The following is a simulated PXRD pattern of MgAl2Si6O16. It was derived from a DFT-relaxed cell (GGA-PBE, the Materials Project), using Cu Kα.
Kinematic intensities with the Lorentz-polarization factor, no thermal factor.

Atomic structure:
a b c (Å): 5.062 8.440 8.834
angles (deg): 91.03 90.34 90.64
Element x y z (fractional)
Mg: 0.000 0.000 0.000
Al: 0.685 0.062 0.211
Al: 0.934 0.187 0.686
Si: 0.138 0.564 0.361
Si: 0.192 0.189 0.359
Si: 0.448 0.683 0.868
Si: 0.460 0.056 0.860
Si: 0.639 0.681 0.192
Si: 0.938 0.564 0.694
O: 0.021 0.127 0.206
O: 0.036 0.623 0.528
O: 0.045 0.134 0.509
O: 0.170 0.138 0.839
O: 0.195 0.585 0.807
O: 0.232 0.383 0.357
O: 0.341 0.870 0.899
O: 0.389 0.677 0.310
O: 0.481 0.114 0.351
O: 0.532 0.609 0.030
O: 0.615 0.109 0.016
O: 0.670 0.058 0.727
O: 0.703 0.684 0.756
O: 0.754 0.860 0.164
O: 0.839 0.384 0.698
O: 0.887 0.575 0.245

Top 10 peaks for 10 to 90 degrees two-theta, in order of falling intensity:
two_theta  I_rel
21.1  100
20.1  49
26.9  39
20.3  36
14.4  29
14.6  28
26.7  26
22.7  21
23.1  12
20.6  10

Record 4
The following is a simulated PXRD pattern of Mg6AlSiO8. It was derived from a DFT-relaxed cell (GGA-PBE, the Materials Project), using Cu Kα.
Kinematic intensities with the Lorentz-polarization factor, no thermal factor.

Atomic structure:
a b c (Å): 4.362 4.362 8.652
angles (deg): 90.00 90.00 90.00
Element x y z (fractional)
Mg: 0.000 0.000 0.000
Mg: 0.000 0.500 0.247
Mg: 0.000 0.500 0.753
Mg: 0.500 0.000 0.247
Mg: 0.500 0.000 0.753
Mg: 0.500 0.500 0.000
Al: 0.000 0.000 0.500
Si: 0.500 0.500 0.500
O: 0.000 0.000 0.261
O: 0.000 0.000 0.739
O: 0.000 0.500 0.000
O: 0.000 0.500 0.500
O: 0.500 0.000 0.000
O: 0.500 0.000 0.500
O: 0.500 0.500 0.238
O: 0.500 0.500 0.762

Top 10 peaks for 10 to 90 degrees two-theta, in order of falling intensity:
two_theta  I_rel
41.4  100
60.3  55
41.8  48
60.0  29
75.8  25
35.8  16
90.0  8
71.8  8
72.3  4
37.4  1

Record 5
The following is a simulated PXRD pattern of MgAl2Si6O16. It was derived from a DFT-relaxed cell (GGA-PBE, the Materials Project), using Cu Kα.
Kinematic intensities with the Lorentz-polarization factor, no thermal factor.

Atomic structure:
a b c (Å): 5.100 8.524 8.854
angles (deg): 85.32 88.86 87.88
Element x y z (fractional)
Mg: 0.000 0.000 0.000
Al: 0.529 0.987 0.875
Al: 0.820 0.875 0.386
Si: 0.029 0.857 0.719
Si: 0.163 0.490 0.709
Si: 0.326 0.013 0.236
Si: 0.504 0.374 0.221
Si: 0.668 0.353 0.881
Si: 0.997 0.502 0.373
O: 0.002 0.992 0.237
O: 0.083 0.437 0.545
O: 0.170 0.681 0.714
O: 0.242 0.978 0.777
O: 0.259 0.489 0.264
O: 0.380 0.967 0.058
O: 0.400 0.195 0.243
O: 0.450 0.409 0.753
O: 0.483 0.903 0.359
O: 0.576 0.416 0.042
O: 0.713 0.159 0.896
O: 0.765 0.389 0.321
O: 0.809 0.858 0.864
O: 0.894 0.926 0.566
O: 0.897 0.681 0.364
O: 0.952 0.424 0.837

Top 10 peaks for 10 to 90 degrees two-theta, in order of falling intensity:
two_theta  I_rel
20.9  100
20.1  51
20.0  34
15.1  31
22.9  25
13.9  22
27.0  22
26.5  15
20.3  14
20.6  13

Record 6
The following is a simulated PXRD pattern of MgAl2Si6O16. It was derived from a DFT-relaxed cell (GGA-PBE, the Materials Project), using Cu Kα.
Kinematic intensities with the Lorentz-polarization factor, no thermal factor.

Atomic structure:
a b c (Å): 5.084 8.650 8.929
angles (deg): 91.23 90.66 91.55
Element x y z (fractional)
Mg: 0.000 0.000 0.000
Al: 0.254 0.659 0.947
Al: 0.512 0.155 0.798
Si: 0.008 0.305 0.943
Si: 0.061 0.293 0.288
Si: 0.224 0.659 0.293
Si: 0.566 0.148 0.434
Si: 0.714 0.806 0.441
Si: 0.734 0.811 0.796
O: 0.013 0.795 0.891
O: 0.145 0.474 0.283
O: 0.150 0.469 0.947
O: 0.193 0.161 0.879
O: 0.307 0.728 0.132
O: 0.313 0.192 0.330
O: 0.463 0.687 0.415
O: 0.488 0.150 0.606
O: 0.520 0.680 0.830
O: 0.648 0.976 0.374
O: 0.657 0.983 0.870
O: 0.722 0.300 0.868
O: 0.793 0.822 0.618
O: 0.814 0.267 0.399
O: 0.965 0.749 0.348
O: 0.970 0.224 0.117

Top 10 peaks for 10 to 90 degrees two-theta, in order of falling intensity:
two_theta  I_rel
19.9  100
20.0  84
20.5  77
20.2  33
26.7  24
27.5  21
35.1  20
22.4  20
10.2  18
14.1  17

Record 7
The following is a simulated PXRD pattern of Mg2Al2SiO9. It was derived from a DFT-relaxed cell (GGA-PBE, the Materials Project), using Cu Kα.
Kinematic intensities with the Lorentz-polarization factor, no thermal factor.

Atomic structure:
a b c (Å): 5.468 13.989 5.470
angles (deg): 90.00 118.92 90.00
Element x y z (fractional)
Mg: 0.015 0.000 0.336
Mg: 0.332 0.501 0.325
Mg: 0.668 0.001 0.675
Mg: 0.985 0.500 0.664
Al: 0.320 0.007 0.985
Al: 0.334 0.207 0.671
Al: 0.666 0.707 0.329
Al: 0.680 0.507 0.015
Si: 0.005 0.206 0.002
Si: 0.995 0.706 0.998
O: 0.017 0.086 0.996
O: 0.022 0.946 0.690
O: 0.159 0.242 0.323
O: 0.161 0.252 0.842
O: 0.318 0.740 0.160
O: 0.324 0.078 0.686
O: 0.353 0.448 0.978
O: 0.353 0.948 0.306
O: 0.375 0.567 0.708
O: 0.625 0.067 0.292
O: 0.647 0.448 0.694
O: 0.647 0.948 0.022
O: 0.676 0.578 0.314
O: 0.682 0.240 0.840
O: 0.839 0.752 0.158
O: 0.841 0.742 0.677
O: 0.978 0.446 0.310
O: 0.983 0.586 0.004

Top 10 peaks for 10 to 90 degrees two-theta, in order of falling intensity:
two_theta  I_rel
12.7  100
25.5  100
35.2  70
19.6  54
34.7  31
38.2  22
46.4  20
19.9  20
18.5  19
51.5  19

Record 8
The following is a simulated PXRD pattern of Mg2Al2SiO9. It was derived from a DFT-relaxed cell (GGA-PBE, the Materials Project), using Cu Kα.
Kinematic intensities with the Lorentz-polarization factor, no thermal factor.

Atomic structure:
a b c (Å): 5.443 5.484 13.706
angles (deg): 90.58 90.15 119.64
Element x y z (fractional)
Mg: 0.000 0.000 0.000
Mg: 0.009 0.679 0.501
Mg: 0.328 0.343 0.500
Mg: 0.653 0.338 0.000
Al: 0.326 0.002 0.791
Al: 0.349 0.697 0.995
Al: 0.673 0.036 0.496
Al: 0.992 0.339 0.290
Si: 0.339 0.009 0.293
Si: 0.653 0.672 0.792
O: 0.023 0.658 0.056
O: 0.038 0.382 0.934
O: 0.109 0.689 0.263
O: 0.235 0.230 0.262
O: 0.316 0.374 0.055
O: 0.339 0.990 0.922
O: 0.362 0.021 0.416
O: 0.382 0.718 0.556
O: 0.433 0.766 0.751
O: 0.559 0.350 0.760
O: 0.645 0.681 0.916
O: 0.649 0.107 0.248
O: 0.651 0.993 0.060
O: 0.668 0.333 0.559
O: 0.670 0.724 0.434
O: 0.966 0.003 0.556
O: 0.972 0.328 0.422
O: 0.974 0.893 0.762

Top 10 peaks for 10 to 90 degrees two-theta, in order of falling intensity:
two_theta  I_rel
26.0  100
12.9  91
35.4  48
19.8  39
35.1  36
19.9  30
47.1  23
58.1  20
35.5  18
58.5  16

Record 9
The following is a simulated PXRD pattern of Mg2Al2SiO9. It was derived from a DFT-relaxed cell (GGA-PBE, the Materials Project), using Cu Kα.
Kinematic intensities with the Lorentz-polarization factor, no thermal factor.

Atomic structure:
a b c (Å): 5.457 5.462 14.392
angles (deg): 90.20 100.79 118.76
Element x y z (fractional)
Mg: 0.000 0.000 0.000
Mg: 0.029 0.174 0.500
Mg: 0.347 0.660 0.000
Mg: 0.680 0.512 0.500
Al: 0.339 0.822 0.508
Al: 0.486 0.576 0.706
Al: 0.697 0.355 0.008
Al: 0.815 0.734 0.206
Si: 0.145 0.402 0.206
Si: 0.155 0.905 0.706
O: 0.001 0.511 0.446
O: 0.036 0.595 0.252
O: 0.055 0.372 0.086
O: 0.087 0.858 0.586
O: 0.323 0.742 0.752
O: 0.331 0.295 0.947
O: 0.333 0.125 0.449
O: 0.352 0.239 0.740
O: 0.391 0.548 0.579
O: 0.432 0.066 0.067
O: 0.490 0.556 0.240
O: 0.628 0.015 0.949
O: 0.628 0.844 0.448
O: 0.684 0.151 0.567
O: 0.741 0.677 0.079
O: 0.856 0.776 0.741
O: 0.956 0.628 0.947
O: 0.994 0.094 0.241

Top 10 peaks for 10 to 90 degrees two-theta, in order of falling intensity:
two_theta  I_rel
25.4  100
12.6  98
35.3  50
18.7  33
57.8  26
19.0  22
35.4  17
21.3  17
38.1  16
34.6  15